Record 1
Diffraction record for Rb2TlAgBr6. The PXRD pattern is simulated, not measured: it uses the PBE geometry in OQMD and Cu Ka.
Neutral-atom scattering factors, no anomalous dispersion.

Principal peaks in the range 2θ from 15° to 90°, low angle first:
| 2θ/deg | d (Å) | intensity |
| --- | --- | --- |
| 15.9 | 5.580 | 53 |
| 22.5 | 3.945 | 52 |
| 27.7 | 3.221 | 26 |
| 32.1 | 2.790 | 100 |
| 36.0 | 2.495 | 28 |
| 39.6 | 2.278 | 24 |
| 46.0 | 1.973 | 72 |
| 57.2 | 1.610 | 19 |
| 76.3 | 1.248 | 16 |
| 85.2 | 1.138 | 18 |

Structure:
```
data_Rb2TlAgBr6
_space_group_name_H-M_alt 'R -3'
_space_group_IT_number 148
_space_group_name_Hall '-R 3'
_cell_length_a 7.8852
_cell_length_b 7.8852
_cell_length_c 19.3572
_cell_angle_alpha 90.00
_cell_angle_beta 90.00
_cell_angle_gamma 120.00
loop_
_atom_site_label
_atom_site_type_symbol
_atom_site_fract_x
_atom_site_fract_y
_atom_site_fract_z
Rb1 Rb 0.0000 0.0000 0.2502
Tl1 Tl 0.0000 0.0000 0.5000
Ag1 Ag 0.0000 0.0000 0.0000
Br1 Br 0.0040 0.5036 0.7492
```

=====

Record 2
Diffraction record for Ta4B3Sb. The PXRD pattern is simulated, not measured: it uses the PBE geometry in OQMD and Cu Ka.
Neutral-atom scattering factors, no anomalous dispersion.

Principal peaks in the range 2θ from 15° to 90°, low angle first:
| 2θ/deg | d (Å) | intensity |
| --- | --- | --- |
| 31.1 | 2.872 | 28 |
| 31.8 | 2.810 | 34 |
| 34.5 | 2.597 | 54 |
| 36.4 | 2.466 | 83 |
| 38.2 | 2.358 | 38 |
| 38.6 | 2.330 | 100 |
| 55.0 | 1.671 | 54 |
| 56.6 | 1.626 | 18 |
| 67.8 | 1.382 | 25 |
| 68.9 | 1.363 | 41 |

Structure:
```
data_Ta4B3Sb
_space_group_name_H-M_alt 'P 63/m m c'
_space_group_IT_number 194
_space_group_name_Hall '-P 6c 2c'
_cell_length_a 3.3410
_cell_length_b 3.3410
_cell_length_c 23.5826
_cell_angle_alpha 90.00
_cell_angle_beta 90.00
_cell_angle_gamma 120.00
loop_
_atom_site_label
_atom_site_type_symbol
_atom_site_fract_x
_atom_site_fract_y
_atom_site_fract_z
Ta1 Ta 0.0000 0.0000 0.1598
Ta2 Ta 0.3333 0.6667 0.0538
B1 B 0.0000 0.0000 0.0000
B2 B 0.3333 0.6667 0.6105
Sb1 Sb 0.3333 0.6667 0.2500
```

=====

Record 3
Diffraction record for Mg5Sc2Zn. The PXRD pattern is simulated, not measured: it uses the PBE geometry in OQMD and Cu Ka.
Neutral-atom scattering factors, no anomalous dispersion.

Principal peaks in the range 2θ from 15° to 90°, low angle first:
| 2θ/deg | d (Å) | intensity |
| --- | --- | --- |
| 15.9 | 5.573 | 16 |
| 33.0 | 2.717 | 35 |
| 36.2 | 2.479 | 41 |
| 37.0 | 2.429 | 66 |
| 37.8 | 2.383 | 100 |
| 49.8 | 1.831 | 21 |
| 57.8 | 1.595 | 18 |
| 66.2 | 1.412 | 17 |
| 70.2 | 1.341 | 24 |
| 72.1 | 1.310 | 17 |

Structure:
```
data_Mg5Sc2Zn
_space_group_name_H-M_alt 'A m m 2'
_space_group_IT_number 38
_space_group_name_Hall 'A 2 -2'
_cell_length_a 4.9586
_cell_length_b 6.2229
_cell_length_c 11.1467
_cell_angle_alpha 90.00
_cell_angle_beta 90.00
_cell_angle_gamma 90.00
loop_
_atom_site_label
_atom_site_type_symbol
_atom_site_fract_x
_atom_site_fract_y
_atom_site_fract_z
Mg1 Mg 0.0000 0.0000 0.0000
Mg2 Mg 0.0000 0.2470 0.7520
Mg3 Mg 0.5000 0.2489 0.9119
Sc1 Sc 0.0000 0.0000 0.5101
Sc2 Sc 0.5000 0.0000 0.1601
Zn1 Zn 0.5000 0.0000 0.6573
```

=====

Record 4
Diffraction record for Zr2TlPdF11. The PXRD pattern is simulated, not measured: it uses the PBE geometry in OQMD and Cu Ka.
Neutral-atom scattering factors, no anomalous dispersion.

Principal peaks in the range 2θ from 15° to 90°, low angle first:
| 2θ/deg | d (Å) | intensity |
| --- | --- | --- |
| 22.6 | 3.937 | 100 |
| 26.5 | 3.366 | 57 |
| 27.1 | 3.285 | 51 |
| 28.2 | 3.167 | 46 |
| 32.4 | 2.767 | 25 |
| 33.3 | 2.691 | 62 |
| 36.8 | 2.444 | 23 |
| 40.1 | 2.248 | 17 |
| 51.4 | 1.777 | 19 |
| 58.1 | 1.588 | 25 |

Structure:
```
data_Zr2TlPdF11
_space_group_name_H-M_alt 'P -1'
_space_group_IT_number 2
_space_group_name_Hall '-P 1'
_cell_length_a 5.0547
_cell_length_b 5.5830
_cell_length_c 7.4845
_cell_angle_alpha 77.51
_cell_angle_beta 78.21
_cell_angle_gamma 78.84
loop_
_atom_site_label
_atom_site_type_symbol
_atom_site_fract_x
_atom_site_fract_y
_atom_site_fract_z
Zr1 Zr 0.0733 0.0273 0.2539
Tl1 Tl 0.5000 0.5000 0.5000
Pd1 Pd 0.5000 0.5000 0.0000
F1 F 0.0000 0.0000 0.0000
F2 F 0.0270 0.3106 0.6667
F3 F 0.1568 0.6409 0.8450
F4 F 0.2370 0.9353 0.5143
F5 F 0.3376 0.2660 0.2436
F6 F 0.4428 0.8176 0.1503
```

=====

Record 5
Diffraction record for YTaH4. The PXRD pattern is simulated, not measured: it uses the PBE geometry in OQMD and Cu Ka.
Neutral-atom scattering factors, no anomalous dispersion.

Principal peaks in the range 2θ from 15° to 90°, low angle first:
| 2θ/deg | d (Å) | intensity |
| --- | --- | --- |
| 18.5 | 4.784 | 10 |
| 32.3 | 2.771 | 100 |
| 37.4 | 2.403 | 32 |
| 37.6 | 2.392 | 16 |
| 54.0 | 1.699 | 12 |
| 54.1 | 1.695 | 24 |
| 64.3 | 1.449 | 27 |
| 64.6 | 1.444 | 14 |
| 67.6 | 1.385 | 12 |
| 89.0 | 1.100 | 12 |

Structure:
```
data_YTaH4
_space_group_name_H-M_alt 'P 4/m m m'
_space_group_IT_number 123
_space_group_name_Hall '-P 4 2'
_cell_length_a 3.3989
_cell_length_b 3.3989
_cell_length_c 4.7841
_cell_angle_alpha 90.00
_cell_angle_beta 90.00
_cell_angle_gamma 90.00
loop_
_atom_site_label
_atom_site_type_symbol
_atom_site_fract_x
_atom_site_fract_y
_atom_site_fract_z
Y1 Y 0.0000 0.0000 0.0000
Ta1 Ta 0.5000 0.5000 0.5000
H1 H 0.0000 0.5000 0.2900
```

=====

Record 6
Diffraction record for TbErHg6. The PXRD pattern is simulated, not measured: it uses the PBE geometry in OQMD and Cu Ka.
Neutral-atom scattering factors, no anomalous dispersion.

Principal peaks in the range 2θ from 15° to 90°, low angle first:
| 2θ/deg | d (Å) | intensity |
| --- | --- | --- |
| 31.3 | 2.854 | 24 |
| 36.0 | 2.497 | 23 |
| 36.2 | 2.478 | 100 |
| 48.4 | 1.879 | 15 |
| 55.8 | 1.648 | 20 |
| 64.8 | 1.438 | 19 |
| 68.2 | 1.375 | 22 |
| 68.4 | 1.372 | 16 |
| 76.9 | 1.239 | 4 |
| 84.7 | 1.144 | 3 |

Structure:
```
data_TbErHg6
_space_group_name_H-M_alt 'P -6 m 2'
_space_group_IT_number 187
_space_group_name_Hall 'P -6 2'
_cell_length_a 6.5920
_cell_length_b 6.5920
_cell_length_c 4.9945
_cell_angle_alpha 90.00
_cell_angle_beta 90.00
_cell_angle_gamma 120.00
loop_
_atom_site_label
_atom_site_type_symbol
_atom_site_fract_x
_atom_site_fract_y
_atom_site_fract_z
Tb1 Tb 0.0000 0.0000 0.0000
Er1 Er 0.6667 0.3333 0.5000
Hg1 Hg 0.9995 0.4998 0.0000
Hg2 Hg 0.1670 0.3340 0.5000
```